No. 1
Theoretical PXRD pattern
Compound: NbAsO
Radiation: a wavelength of 1.5418 Å
Structure: a cell relaxed with PBE

a b c (Å): 9.184 9.184 9.184
angles (deg): 115.33 115.33 115.33
Atoms (fractional coordinates):
Nb  0.244  0.558  0.631
Nb  0.369  0.756  0.442
Nb  0.442  0.369  0.756
Nb  0.558  0.631  0.244
Nb  0.631  0.244  0.558
Nb  0.756  0.442  0.369
As  0.073  0.616  0.778
As  0.222  0.927  0.384
As  0.384  0.222  0.927
As  0.616  0.778  0.073
As  0.778  0.073  0.616
As  0.927  0.384  0.222
O  0.186  0.286  0.501
O  0.286  0.501  0.186
O  0.499  0.814  0.714
O  0.501  0.186  0.286
O  0.714  0.499  0.814
O  0.814  0.714  0.499

Top 8 peaks for 10° ≤ 2θ ≤ 90°, in order of falling intensity:
| 2θ/deg | intensity |
| --- | --- |
| 38.4 | 100 |
| 19.8 | 84 |
| 16.1 | 78 |
| 46.7 | 67 |
| 22.9 | 62 |
| 34.5 | 47 |
| 30.5 | 40 |
| 28.1 | 40 |

=====

No. 2
Theoretical PXRD pattern
Compound: V6SnAu
Radiation: a wavelength of 1.5418 Å
Structure: a cell relaxed with PBE

a b c (Å): 4.450 5.683 5.683
angles (deg): 57.29 90.00 90.00
Atoms (fractional coordinates):
V  0.000  0.000  0.000
V  0.000  0.022  0.457
V  0.000  0.457  0.022
V  0.500  0.320  0.874
V  0.500  0.337  0.337
V  0.500  0.874  0.320
Sn  0.000  0.502  0.502
Au  0.500  0.835  0.835

Top 8 peaks for 10° ≤ 2θ ≤ 90°, in order of falling intensity:
| 2θ/deg | intensity |
| --- | --- |
| 42.9 | 100 |
| 41.5 | 67 |
| 27.4 | 55 |
| 40.5 | 44 |
| 37.6 | 36 |
| 26.9 | 29 |
| 31.5 | 23 |
| 75.4 | 23 |

=====

No. 3
Theoretical PXRD pattern
Compound: Pr7Ho6Er16
Radiation: a wavelength of 1.5418 Å
Structure: a cell relaxed with PBE

a b c (Å): 11.204 11.204 11.204
angles (deg): 60.00 60.00 60.00
Atoms (fractional coordinates):
Pr  0.000  0.000  0.000
Pr  0.000  0.000  0.500
Pr  0.000  0.500  0.000
Pr  0.000  0.500  0.500
Pr  0.500  0.000  0.000
Pr  0.500  0.000  0.500
Pr  0.500  0.500  0.000
Ho  0.253  0.253  0.747
Ho  0.253  0.747  0.253
Ho  0.253  0.747  0.747
Ho  0.747  0.253  0.253
Ho  0.747  0.253  0.747
Ho  0.747  0.747  0.253
Er  0.054  0.649  0.649
Er  0.130  0.130  0.130
Er  0.130  0.130  0.609
Er  0.130  0.609  0.130
Er  0.351  0.351  0.351
Er  0.351  0.351  0.946
Er  0.351  0.946  0.351
Er  0.391  0.870  0.870
Er  0.609  0.130  0.130
Er  0.649  0.054  0.649
Er  0.649  0.649  0.054
Er  0.649  0.649  0.649
Er  0.870  0.391  0.870
Er  0.870  0.870  0.391
Er  0.870  0.870  0.870
Er  0.946  0.351  0.351

Top 8 peaks for 10° ≤ 2θ ≤ 90°, in order of falling intensity:
| 2θ/deg | intensity |
| --- | --- |
| 32.0 | 100 |
| 56.9 | 28 |
| 45.8 | 15 |
| 76.0 | 8 |
| 66.8 | 8 |
| 25.1 | 7 |
| 33.9 | 6 |
| 27.6 | 5 |

=====

No. 4
Theoretical PXRD pattern
Compound: Pm2SmDy8
Radiation: a wavelength of 1.5418 Å
Structure: a cell relaxed with PBE

a b c (Å): 9.393 9.393 9.393
angles (deg): 145.69 128.79 63.10
Atoms (fractional coordinates):
Pm  0.200  0.200  0.000
Pm  0.800  0.800  0.000
Sm  0.500  0.500  0.000
Dy  0.070  0.362  0.707
Dy  0.207  0.000  0.207
Dy  0.339  0.839  0.500
Dy  0.345  0.638  0.707
Dy  0.655  0.362  0.293
Dy  0.661  0.161  0.500
Dy  0.793  0.000  0.793
Dy  0.930  0.638  0.293

Top 8 peaks for 10° ≤ 2θ ≤ 90°, in order of falling intensity:
| 2θ/deg | intensity |
| --- | --- |
| 32.1 | 100 |
| 32.3 | 50 |
| 29.6 | 28 |
| 33.6 | 26 |
| 47.3 | 20 |
| 57.5 | 19 |
| 64.1 | 12 |
| 62.9 | 12 |

=====

No. 5
Theoretical PXRD pattern
Compound: Dy12Tm5Pu
Radiation: a wavelength of 1.5418 Å
Structure: a cell relaxed with PBE

a b c (Å): 6.112 6.112 17.201
angles (deg): 93.40 93.40 120.00
Atoms (fractional coordinates):
Dy  0.056  0.723  0.668
Dy  0.116  0.445  0.836
Dy  0.225  0.225  0.164
Dy  0.277  0.944  0.332
Dy  0.389  0.389  0.666
Dy  0.445  0.116  0.836
Dy  0.555  0.884  0.164
Dy  0.611  0.611  0.334
Dy  0.723  0.056  0.668
Dy  0.775  0.775  0.836
Dy  0.884  0.555  0.164
Dy  0.944  0.277  0.332
Tm  0.000  0.000  0.500
Tm  0.167  0.833  0.000
Tm  0.333  0.667  0.500
Tm  0.667  0.333  0.500
Tm  0.833  0.167  0.000
Pu  0.500  0.500  0.000

Top 8 peaks for 10° ≤ 2θ ≤ 90°, in order of falling intensity:
| 2θ/deg | intensity |
| --- | --- |
| 32.5 | 100 |
| 34.2 | 96 |
| 31.4 | 87 |
| 30.5 | 79 |
| 61.9 | 76 |
| 51.8 | 65 |
| 37.2 | 43 |
| 88.2 | 37 |

=====

No. 6
Theoretical PXRD pattern
Compound: Ac4RuO10
Radiation: a wavelength of 1.5418 Å
Structure: a cell relaxed with PBE

a b c (Å): 6.989 6.989 6.989
angles (deg): 99.98 99.98 130.79
Atoms (fractional coordinates):
Ac  0.101  0.301  0.401
Ac  0.301  0.899  0.200
Ac  0.699  0.101  0.800
Ac  0.899  0.699  0.599
Ru  0.500  0.500  0.000
O  0.118  0.198  0.739
O  0.198  0.459  0.080
O  0.250  0.750  0.500
O  0.379  0.118  0.920
O  0.459  0.379  0.261
O  0.541  0.621  0.739
O  0.621  0.882  0.080
O  0.750  0.250  0.500
O  0.802  0.541  0.920
O  0.882  0.802  0.261

Top 8 peaks for 10° ≤ 2θ ≤ 90°, in order of falling intensity:
| 2θ/deg | intensity |
| --- | --- |
| 27.0 | 100 |
| 44.6 | 33 |
| 53.3 | 31 |
| 31.5 | 24 |
| 45.1 | 16 |
| 52.4 | 16 |
| 71.6 | 13 |
| 30.7 | 12 |

=====

No. 7
Theoretical PXRD pattern
Compound: TmMgZn
Radiation: a wavelength of 1.5418 Å
Structure: a cell relaxed with PBE

a b c (Å): 4.984 4.984 6.052
angles (deg): 90.00 90.00 120.00
Atoms (fractional coordinates):
Tm  0.333  0.667  0.250
Tm  0.667  0.333  0.750
Mg  0.000  0.000  0.000
Mg  0.000  0.000  0.500
Zn  0.333  0.667  0.750
Zn  0.667  0.333  0.250

Top 8 peaks for 10° ≤ 2θ ≤ 90°, in order of falling intensity:
| 2θ/deg | intensity |
| --- | --- |
| 36.0 | 100 |
| 47.3 | 60 |
| 36.3 | 59 |
| 20.6 | 51 |
| 25.3 | 48 |
| 29.5 | 37 |
| 73.2 | 25 |
| 64.9 | 21 |

=====

No. 8
Theoretical PXRD pattern
Compound: Ac3Cd2N2
Radiation: a wavelength of 1.5418 Å
Structure: a cell relaxed with PBE

a b c (Å): 7.435 7.435 8.240
angles (deg): 117.85 117.85 33.07
Atoms (fractional coordinates):
Ac  0.000  0.000  0.000
Ac  0.217  0.217  0.789
Ac  0.783  0.783  0.211
Cd  0.455  0.455  0.629
Cd  0.545  0.545  0.371
N  0.188  0.188  0.059
N  0.812  0.812  0.941

Top 8 peaks for 10° ≤ 2θ ≤ 90°, in order of falling intensity:
| 2θ/deg | intensity |
| --- | --- |
| 27.1 | 100 |
| 31.8 | 54 |
| 25.0 | 38 |
| 32.8 | 31 |
| 28.3 | 25 |
| 28.7 | 22 |
| 34.3 | 20 |
| 49.7 | 19 |

=====

No. 9
Theoretical PXRD pattern
Compound: Pa2BiTe2N
Radiation: a wavelength of 1.5418 Å
Structure: a cell relaxed with PBE

a b c (Å): 8.531 8.531 8.531
angles (deg): 124.97 70.77 139.12
Atoms (fractional coordinates):
Pa  0.093  0.154  0.247
Pa  0.407  0.654  0.062
Pa  0.593  0.346  0.938
Pa  0.907  0.846  0.753
Bi  0.250  0.750  0.500
Bi  0.750  0.250  0.500
Te  0.196  0.817  0.013
Te  0.304  0.317  0.622
Te  0.696  0.683  0.378
Te  0.804  0.183  0.987
N  0.250  0.250  0.000
N  0.750  0.750  0.000

Top 8 peaks for 10° ≤ 2θ ≤ 90°, in order of falling intensity:
| 2θ/deg | intensity |
| --- | --- |
| 31.9 | 100 |
| 33.4 | 95 |
| 32.8 | 85 |
| 34.7 | 68 |
| 22.2 | 53 |
| 22.7 | 40 |
| 37.9 | 39 |
| 12.7 | 36 |

=====

No. 10
Theoretical PXRD pattern
Compound: Nd12Hg5Pt2
Radiation: a wavelength of 1.5418 Å
Structure: a cell relaxed with PBE

a b c (Å): 9.341 9.341 9.230
angles (deg): 105.83 105.83 50.64
Atoms (fractional coordinates):
Nd  0.015  0.015  0.319
Nd  0.069  0.581  0.322
Nd  0.079  0.678  0.945
Nd  0.322  0.921  0.055
Nd  0.401  0.401  0.661
Nd  0.419  0.931  0.678
Nd  0.581  0.069  0.322
Nd  0.599  0.599  0.339
Nd  0.678  0.079  0.945
Nd  0.921  0.322  0.055
Nd  0.931  0.419  0.678
Nd  0.985  0.985  0.681
Hg  0.205  0.205  0.403
Hg  0.267  0.267  0.971
Hg  0.500  0.500  0.000
Hg  0.733  0.733  0.029
Hg  0.795  0.795  0.597
Pt  0.302  0.698  0.500
Pt  0.698  0.302  0.500

Top 8 peaks for 10° ≤ 2θ ≤ 90°, in order of falling intensity:
| 2θ/deg | intensity |
| --- | --- |
| 30.0 | 100 |
| 35.2 | 48 |
| 32.0 | 29 |
| 30.5 | 29 |
| 31.1 | 25 |
| 31.6 | 23 |
| 28.8 | 21 |
| 20.2 | 21 |

=====

No. 11
Theoretical PXRD pattern
Compound: CeGaCu4
Radiation: a wavelength of 1.5418 Å
Structure: a cell relaxed with PBE

a b c (Å): 5.255 5.255 4.043
angles (deg): 90.00 90.00 120.00
Atoms (fractional coordinates):
Ce  0.000  0.000  0.000
Ga  0.333  0.667  0.000
Cu  0.502  0.004  0.500
Cu  0.502  0.498  0.500
Cu  0.667  0.333  0.000
Cu  0.996  0.498  0.500

Top 8 peaks for 10° ≤ 2θ ≤ 90°, in order of falling intensity:
| 2θ/deg | intensity |
| --- | --- |
| 41.0 | 100 |
| 29.6 | 37 |
| 39.6 | 34 |
| 34.1 | 31 |
| 44.8 | 25 |
| 65.7 | 23 |
| 88.8 | 19 |
| 61.3 | 18 |

=====

No. 12
Theoretical PXRD pattern
Compound: LiZrCr4
Radiation: a wavelength of 1.5418 Å
Structure: a cell relaxed with PBE

a b c (Å): 4.934 4.934 4.934
angles (deg): 60.00 60.00 60.00
Atoms (fractional coordinates):
Li  0.000  0.000  0.000
Zr  0.750  0.750  0.750
Cr  0.374  0.374  0.374
Cr  0.374  0.374  0.877
Cr  0.374  0.877  0.374
Cr  0.877  0.374  0.374

Top 8 peaks for 10° ≤ 2θ ≤ 90°, in order of falling intensity:
| 2θ/deg | intensity |
| --- | --- |
| 43.0 | 100 |
| 45.0 | 44 |
| 22.1 | 31 |
| 70.1 | 28 |
| 25.5 | 24 |
| 36.4 | 22 |
| 77.4 | 21 |
| 59.2 | 8 |

=====

No. 13
Theoretical PXRD pattern
Compound: SrNdBr6
Radiation: a wavelength of 1.5418 Å
Structure: a cell relaxed with PBE

a b c (Å): 8.385 8.385 8.385
angles (deg): 60.00 60.00 60.00
Atoms (fractional coordinates):
Sr  0.000  0.000  0.000
Nd  0.500  0.500  0.500
Br  0.257  0.257  0.743
Br  0.257  0.743  0.257
Br  0.257  0.743  0.743
Br  0.743  0.257  0.257
Br  0.743  0.257  0.743
Br  0.743  0.743  0.257

Top 8 peaks for 10° ≤ 2θ ≤ 90°, in order of falling intensity:
| 2θ/deg | intensity |
| --- | --- |
| 14.9 | 100 |
| 30.1 | 61 |
| 33.8 | 53 |
| 43.2 | 44 |
| 45.9 | 28 |
| 71.1 | 19 |
| 64.8 | 16 |
| 26.0 | 15 |